Starting from the PBE geometry in Alexandria, the powder X-ray diffraction pattern of SrCa2In2 was computed for CuKα.

Lattice parameters (Å, degrees): 3.9912 5.7119 14.7551 90.00 97.78 90.00
Fractional coordinates of all 10 atoms:
Sr  0.1415  0.2500  0.2838
Sr  0.8585  0.7500  0.7162
Ca  0.0480  0.7500  0.0956
Ca  0.2301  0.7500  0.4601
Ca  0.7699  0.2500  0.5399
Ca  0.9520  0.2500  0.9044
In  0.3582  0.2500  0.7170
In  0.4569  0.7500  0.9128
In  0.5431  0.2500  0.0872
In  0.6418  0.7500  0.2830

Peak list (12 most intense, 10° ≤ 2θ ≤ 90°, by angle)
Position (°2θ)  I_rel
12.11  7.4
19.73  7.3
30.58  16.0
31.33  100.0
34.83  6.6
44.34  11.2
45.45  7.4
54.82  8.1
55.76  19.9
56.23  7.7
60.85  6.1
65.36  9.1



Starting from the PBE geometry in Alexandria, the powder X-ray diffraction pattern of Nd4Er6Th was computed for CuKα.

Lattice parameters (Å, degrees): 5.6281 5.6281 25.8499 90.00 90.00 118.60
Fractional coordinates of all 22 atoms:
Nd  0.0254  0.9746  0.6233
Nd  0.0254  0.9746  0.8767
Nd  0.3413  0.6587  0.5438
Nd  0.3413  0.6587  0.9562
Nd  0.6587  0.3413  0.0438
Nd  0.6587  0.3413  0.4562
Nd  0.9746  0.0254  0.1233
Nd  0.9746  0.0254  0.3767
Er  0.0000  0.0000  0.0000
Er  0.0000  0.0000  0.5000
Er  0.0232  0.9768  0.7500
Er  0.3151  0.6849  0.1030
Er  0.3151  0.6849  0.3970
Er  0.3559  0.6441  0.6842
Er  0.3559  0.6441  0.8158
Er  0.6441  0.3559  0.1842
Er  0.6441  0.3559  0.3158
Er  0.6849  0.3151  0.6030
Er  0.6849  0.3151  0.8970
Er  0.9768  0.0232  0.2500
Th  0.3126  0.6874  0.2500
Th  0.6874  0.3126  0.7500

Peak list (12 most intense, 10° ≤ 2θ ≤ 90°, by angle)
Position (°2θ)  I_rel
30.21  69.4
30.45  45.5
31.13  60.3
31.81  100.0
32.00  14.2
33.13  37.1
44.10  33.2
54.81  13.2
55.81  20.4
55.97  19.7
57.37  11.4
59.92  11.8



Starting from the PBE geometry in Alexandria, the powder X-ray diffraction pattern of ReAgPd2 was computed for CuKα.

Lattice parameters (Å, degrees): 9.3938 9.3938 9.3938 17.12 17.12 17.12
Fractional coordinates of all 4 atoms:
Re  0.0000  0.0000  0.0000
Ag  0.5000  0.5000  0.5000
Pd  0.2539  0.2539  0.2539
Pd  0.7461  0.7461  0.7461

Peak list (12 most intense, 10° ≤ 2θ ≤ 90°, by angle)
Position (°2θ)  I_rel
19.18  4.8
38.93  33.4
39.41  100.0
43.80  3.4
45.68  64.5
66.26  19.9
66.92  20.6
79.60  11.4
80.21  23.9
80.52  12.2
83.59  3.2
84.80  10.7



Starting from the PBE geometry in Alexandria, the powder X-ray diffraction pattern of Zr6Pd12Pt was computed for CuKα.

Lattice parameters (Å, degrees): 6.9912 6.9912 6.9912 93.26 93.26 93.26
Fractional coordinates of all 19 atoms:
Zr  0.1956  0.3558  0.7413
Zr  0.2587  0.8044  0.6442
Zr  0.3558  0.7413  0.1956
Zr  0.6442  0.2587  0.8044
Zr  0.7413  0.1956  0.3558
Zr  0.8044  0.6442  0.2587
Pd  0.0282  0.7110  0.9616
Pd  0.0384  0.9718  0.2890
Pd  0.1280  0.4533  0.3656
Pd  0.2890  0.0384  0.9718
Pd  0.3656  0.1280  0.4533
Pd  0.4533  0.3656  0.1280
Pd  0.5467  0.6344  0.8720
Pd  0.6344  0.8720  0.5467
Pd  0.7110  0.9616  0.0282
Pd  0.8720  0.5467  0.6344
Pd  0.9616  0.0282  0.7110
Pd  0.9718  0.2890  0.0384
Pt  0.5000  0.5000  0.5000

Peak list (12 most intense, 10° ≤ 2θ ≤ 90°, by angle)
Position (°2θ)  I_rel
27.94  13.6
29.35  13.6
37.67  100.0
38.77  45.2
40.18  85.6
40.89  39.2
41.75  36.5
42.81  14.8
66.31  14.5
71.37  15.1
78.85  16.9
85.84  14.7



Starting from the PBE geometry in Alexandria, the powder X-ray diffraction pattern of Y2ErIn3Hg6 was computed for CuKα.

Lattice parameters (Å, degrees): 4.2218 4.2218 20.2834 90.00 90.00 90.00
Fractional coordinates of all 12 atoms:
Y  0.0000  0.0000  0.2166
Y  0.0000  0.0000  0.7834
Er  0.0000  0.0000  0.5000
In  0.5000  0.5000  0.0000
In  0.5000  0.5000  0.2787
In  0.5000  0.5000  0.7213
Hg  0.0000  0.5000  0.3886
Hg  0.0000  0.5000  0.6114
Hg  0.5000  0.0000  0.3886
Hg  0.5000  0.0000  0.6114
Hg  0.5000  0.5000  0.1369
Hg  0.5000  0.5000  0.8631

Peak list (12 most intense, 10° ≤ 2θ ≤ 90°, by angle)
Position (°2θ)  I_rel
17.49  38.0
21.50  70.1
30.26  95.5
32.79  69.5
34.88  88.3
35.40  36.4
37.40  79.0
37.65  91.1
42.84  100.0
56.75  37.9
58.33  50.4
72.52  35.7



Starting from the PBE geometry in Alexandria, the powder X-ray diffraction pattern of Pa2BiN was computed for CuKα.

Lattice parameters (Å, degrees): 8.8743 8.8743 8.8743 21.93 21.93 21.93
Fractional coordinates of all 4 atoms:
Pa  0.2233  0.2233  0.2233
Pa  0.7767  0.7767  0.7767
Bi  0.0000  0.0000  0.0000
N  0.5000  0.5000  0.5000

Peak list (12 most intense, 10° ≤ 2θ ≤ 90°, by angle)
Position (°2θ)  I_rel
30.78  27.3
30.99  51.6
31.36  15.2
33.62  100.0
35.23  75.0
41.57  17.8
54.35  35.8
55.73  23.9
58.96  17.9
63.89  41.7
65.45  15.1
89.32  19.0



Starting from the PBE geometry in Alexandria, the powder X-ray diffraction pattern of La2Mg3Tl2 was computed for CuKα.

Lattice parameters (Å, degrees): 6.2799 6.2799 7.3039 100.11 100.11 45.43
Fractional coordinates of all 7 atoms:
La  0.1078  0.1078  0.3566
La  0.8922  0.8922  0.6434
Mg  0.2040  0.2040  0.8814
Mg  0.5000  0.5000  0.0000
Mg  0.7960  0.7960  0.1186
Tl  0.3870  0.3870  0.3209
Tl  0.6130  0.6130  0.6791

Peak list (12 most intense, 10° ≤ 2θ ≤ 90°, by angle)
Position (°2θ)  I_rel
12.34  100.0
17.97  31.0
22.67  67.3
24.27  71.5
30.65  64.3
31.46  50.5
33.20  74.0
34.21  83.2
36.14  87.0
37.07  54.1
37.63  36.6
49.41  41.0



Starting from the PBE geometry in Alexandria, the powder X-ray diffraction pattern of CsLi2Cd2F7 was computed for CuKα.

Lattice parameters (Å, degrees): 9.6164 9.6164 9.6164 153.11 38.49 152.98
Fractional coordinates of all 12 atoms:
Cs  0.0000  0.0000  0.0000
Li  0.2297  0.4799  0.7497
Li  0.7302  0.4799  0.2503
Cd  0.3755  0.9997  0.3758
Cd  0.6240  0.9997  0.6242
F  0.1337  0.5011  0.6326
F  0.2720  0.0185  0.2534
F  0.3667  0.4998  0.8669
F  0.5008  0.0008  0.5000
F  0.6328  0.4998  0.1331
F  0.7651  0.0185  0.7466
F  0.8684  0.5011  0.3674

Peak list (12 most intense, 10° ≤ 2θ ≤ 90°, by angle)
Position (°2θ)  I_rel
24.72  100.0
28.16  52.5
31.71  52.5
39.71  23.7
40.14  24.1
40.34  23.2
47.73  16.6
47.87  16.5
49.39  22.5
57.74  14.3
57.90  14.3
58.22  14.5



Starting from the PBE geometry in Alexandria, the powder X-ray diffraction pattern of HoIn9Ir2 was computed for CuKα.

Lattice parameters (Å, degrees): 9.4796 9.4796 9.4796 98.27 98.27 135.43
Fractional coordinates of all 24 atoms:
Ho  0.3750  0.6250  0.7500
Ho  0.6250  0.3750  0.2500
In  0.0966  0.5467  0.3106
In  0.0966  0.7861  0.5500
In  0.1250  0.8750  0.2500
In  0.2139  0.2639  0.3106
In  0.2139  0.9034  0.9500
In  0.2639  0.2139  0.8106
In  0.2639  0.4533  0.0500
In  0.4533  0.2639  0.5500
In  0.4533  0.9034  0.1894
In  0.5467  0.0966  0.8106
In  0.5467  0.7361  0.4500
In  0.7361  0.5467  0.9500
In  0.7361  0.7861  0.1894
In  0.7861  0.0966  0.0500
In  0.7861  0.7361  0.6894
In  0.8750  0.1250  0.7500
In  0.9034  0.2139  0.4500
In  0.9034  0.4533  0.6894
Ir  0.0000  0.0000  0.0000
Ir  0.0000  0.0000  0.5000
Ir  0.0000  0.5000  0.0000
Ir  0.5000  0.0000  0.5000

Peak list (12 most intense, 10° ≤ 2θ ≤ 90°, by angle)
Position (°2θ)  I_rel
14.24  21.4
28.76  47.4
32.27  40.6
33.82  100.0
38.26  27.4
38.38  77.0
41.08  53.8
41.16  34.9
46.27  14.9
58.55  16.6
67.52  19.5
76.82  16.9